# Cs2NdTlCl6
Simulated X-ray diffraction stick pattern, a wavelength of 1.5418 Å. Input: DFT lattice parameters and positions (PBE).
Intensities are scaled so that the largest is 100.

Largest 10 diffraction maxima, in order of rising 2θ, 10 to 90 degrees two-theta:
2θ (°), I/Imax
21.3, 23
21.8, 100
22.1, 24
30.9, 34
31.1, 20
37.6, 17
38.0, 14
38.6, 26
38.7, 14
50.2, 12

Cell and atoms:
Unit cell a=8.0286 b=8.3457 c=13.9905 alpha=90.00 beta=124.80 gamma=90.00
Fractional positions:
Cs1 0.2325 0.0585 0.2496
Cs2 0.2325 0.4415 0.7496
Cs3 0.7675 0.5585 0.2504
Cs4 0.7675 0.9415 0.7504
Nd1 0.5000 0.0000 0.0000
Nd2 0.5000 0.5000 0.5000
Tl1 0.0000 0.0000 0.5000
Tl2 0.0000 0.5000 0.0000
Cl1 0.1805 0.1858 0.9571
Cl2 0.1805 0.3142 0.4571
Cl3 0.2686 0.7278 0.9503
Cl4 0.2686 0.7722 0.4503
Cl5 0.3586 0.0292 0.7696
Cl6 0.3586 0.4708 0.2696
Cl7 0.6414 0.5292 0.7304
Cl8 0.6414 0.9708 0.2304
Cl9 0.7314 0.2278 0.5497
Cl10 0.7314 0.2722 0.0497
Cl11 0.8195 0.6858 0.5429
Cl12 0.8195 0.8142 0.0429

=====

# Pm3Mg7
Simulated X-ray diffraction stick pattern, a wavelength of 1.5418 Å. Input: DFT lattice parameters and positions (PBE).
Intensities are scaled so that the largest is 100.

Largest 10 diffraction maxima, in order of rising 2θ, 10 to 90 degrees two-theta:
2θ (°), I/Imax
14.5, 25
18.3, 34
21.6, 56
24.7, 100
32.8, 88
33.4, 87
35.2, 39
35.3, 37
41.6, 21
50.7, 33

Cell and atoms:
Unit cell a=8.9037 b=8.9037 c=6.6208 alpha=111.59 beta=111.59 gamma=33.32
Fractional positions:
Pm1 0.0000 0.0000 0.0000
Pm2 0.2078 0.2078 0.7869
Pm3 0.7922 0.7922 0.2131
Mg1 0.0000 0.0000 0.5000
Mg2 0.1987 0.1987 0.2969
Mg3 0.3909 0.3909 0.6203
Mg4 0.4104 0.4104 0.1492
Mg5 0.5896 0.5896 0.8508
Mg6 0.6091 0.6091 0.3797
Mg7 0.8013 0.8013 0.7031

=====

# Dy2Fe3Ni
Simulated X-ray diffraction stick pattern, a wavelength of 1.5418 Å. Input: DFT lattice parameters and positions (PBE).
Intensities are scaled so that the largest is 100.

Largest 10 diffraction maxima, in order of rising 2θ, 10 to 90 degrees two-theta:
2θ (°), I/Imax
21.4, 23
34.5, 67
35.4, 68
40.6, 55
41.3, 100
41.7, 46
62.9, 24
67.0, 24
67.5, 22
72.8, 23

Cell and atoms:
Unit cell a=5.1994 b=5.1994 c=5.1994 alpha=58.43 beta=58.43 gamma=58.43
Fractional positions:
Dy1 0.1243 0.1243 0.1243
Dy2 0.8757 0.8757 0.8757
Fe1 0.0000 0.5000 0.5000
Fe2 0.5000 0.0000 0.5000
Fe3 0.5000 0.5000 0.0000
Ni1 0.5000 0.5000 0.5000

=====

# AcPm6Sc
Simulated X-ray diffraction stick pattern, a wavelength of 1.5418 Å. Input: DFT lattice parameters and positions (PBE).
Intensities are scaled so that the largest is 100.

Largest 10 diffraction maxima, in order of rising 2θ, 10 to 90 degrees two-theta:
2θ (°), I/Imax
19.2, 7
30.0, 100
34.7, 34
34.9, 16
49.9, 12
50.1, 23
59.4, 29
59.6, 13
62.4, 12
81.4, 11

Cell and atoms:
Unit cell a=5.1652 b=5.1652 c=10.2737 alpha=90.00 beta=90.00 gamma=90.00
Fractional positions:
Ac1 0.0000 0.0000 0.0000
Pm1 0.0000 0.5000 0.2632
Pm2 0.0000 0.5000 0.7368
Pm3 0.5000 0.0000 0.2632
Pm4 0.5000 0.0000 0.7368
Pm5 0.5000 0.5000 0.0000
Pm6 0.5000 0.5000 0.5000
Sc1 0.0000 0.0000 0.5000

=====

# Sr4Ga5Ir3
Simulated X-ray diffraction stick pattern, a wavelength of 1.5418 Å. Input: DFT lattice parameters and positions (PBE).
Intensities are scaled so that the largest is 100.

Largest 10 diffraction maxima, in order of rising 2θ, 10 to 90 degrees two-theta:
2θ (°), I/Imax
17.0, 100
23.9, 36
28.6, 65
31.9, 44
32.3, 38
32.8, 45
34.6, 56
36.7, 57
39.4, 65
53.4, 43

Cell and atoms:
Unit cell a=9.2950 b=9.2950 c=7.4617 alpha=99.80 beta=99.80 gamma=28.52
Fractional positions:
Sr1 0.0957 0.0957 0.4026
Sr2 0.1684 0.1684 0.9704
Sr3 0.8316 0.8316 0.0296
Sr4 0.9043 0.9043 0.5974
Ga1 0.0000 0.0000 0.0000
Ga2 0.2624 0.2624 0.6414
Ga3 0.4361 0.4361 0.2717
Ga4 0.5639 0.5639 0.7283
Ga5 0.7376 0.7376 0.3586
Ir1 0.3020 0.3020 0.3269
Ir2 0.5000 0.5000 0.0000
Ir3 0.6980 0.6980 0.6731

=====

# Pa2AgO7
Simulated X-ray diffraction stick pattern, a wavelength of 1.5418 Å. Input: DFT lattice parameters and positions (PBE).
Intensities are scaled so that the largest is 100.

Largest 10 diffraction maxima, in order of rising 2θ, 10 to 90 degrees two-theta:
2θ (°), I/Imax
23.7, 22
23.8, 25
27.1, 100
28.4, 33
33.1, 22
34.2, 18
34.4, 16
46.9, 15
49.5, 17
55.8, 23

Cell and atoms:
Unit cell a=9.7855 b=9.7855 c=3.8201 alpha=100.38 beta=100.38 gamma=22.82
Fractional positions:
Pa1 0.0000 0.0000 0.0000
Pa2 0.6556 0.6556 0.6457
Ag1 0.3279 0.3279 0.8234
O1 0.0863 0.0863 0.5797
O2 0.2206 0.2206 0.7039
O3 0.4353 0.4353 0.9356
O4 0.5696 0.5696 0.0641
O5 0.7059 0.7059 0.1938
O6 0.8275 0.8275 0.9557
O7 0.9499 0.9499 0.4547